[1]
Structure and calculated powder diffraction line list of Na4CaHfSi2SO12 (a crystal structure in the Materials Project, relaxed with GGA-PBE; CuKα).
Lines closer than 0.1° are merged.

Main lines, low angle first (15 to 90 degrees two-theta):
- 2θ 18.84, rel. 100, hkl 2 0 -2
- 2θ 19.09, rel. 71, hkl 3 1 -1
- 2θ 26.76, rel. 32, hkl 2 2 -2
- 2θ 29.97, rel. 73, hkl 3 1 -3
- 2θ 30.22, rel. 54, hkl 4 2 -2
- 2θ 30.49, rel. 44, hkl 5 1 -1
- 2θ 32.93, rel. 76, hkl 2 0 2
- 2θ 44.95, rel. 20, hkl 2 2 -4
- 2θ 45.34, rel. 25, hkl 4 4 -2
- 2θ 51.32, rel. 23, hkl 3 1 3

Crystal structure
Cell lengths 16.0353, 9.4208, 9.4287 Å; angles 90.00, 124.94, 90.00 degrees
Space group Cc (No. 9)
Symmetry-distinct sites (fractional):
Na1 0.0000 0.0632 0.0000
Na2 0.1449 0.3869 0.8316
Na3 0.3644 0.0677 0.7204
Na4 0.4287 0.2353 0.1172
Ca1 0.0649 0.2500 0.4510
Hf1 0.2614 0.2315 0.2445
Si1 0.0103 0.3943 0.0539
Si2 0.1621 0.0538 0.8603
S1 0.3105 0.4074 0.6451
O1 0.0038 0.3740 0.2159
O2 0.0914 0.0360 0.3953
O3 0.0923 0.1628 0.7021
O4 0.1213 0.3233 0.1023
O5 0.2196 0.3501 0.6257
O6 0.2317 0.0590 0.3261
O7 0.2508 0.1454 0.0391
O8 0.3104 0.3725 0.4896
O9 0.3132 0.4335 0.1595
O10 0.3994 0.3470 0.8071
O11 0.4185 0.1979 0.3796
O12 0.4991 0.0636 0.0138

[2]
Structure and calculated powder diffraction line list of Ca2HfNbO6 (a crystal structure in the Materials Project, relaxed with GGA-PBE; CuKα).
Lines closer than 0.1° are merged.

Main lines, low angle first (15 to 90 degrees two-theta):
- 2θ 18.85, rel. 12, hkl 1 1 1
- 2θ 21.80, rel. 57, hkl 2 0 0
- 2θ 31.02, rel. 100, hkl 2 2 0
- 2θ 36.55, rel. 8, hkl 3 1 1
- 2θ 44.44, rel. 35, hkl 4 0 0
- 2θ 50.02, rel. 24, hkl 4 2 0
- 2θ 55.18, rel. 39, hkl 4 2 2
- 2θ 64.66, rel. 21, hkl 4 4 0
- 2θ 69.12, rel. 11, hkl 6 0 0
- 2θ 73.44, rel. 17, hkl 6 2 0

Crystal structure
Cell lengths 8.1544, 8.1544, 8.1544 Å; angles 90.00, 90.00, 90.00 degrees
Space group Fm-3m (No. 225)
Symmetry-distinct sites (fractional):
Ca1 0.2500 0.2500 0.2500
Hf1 0.0000 0.0000 0.0000
Nb1 0.0000 0.0000 0.5000
O1 0.0000 0.0000 0.2517

[3]
Structure and calculated powder diffraction line list of CaNdHfTiO6 (a crystal structure in the Materials Project, relaxed with GGA-PBE; CuKα).
Lines closer than 0.1° are merged.

Main lines, low angle first (15 to 90 degrees two-theta):
- 2θ 19.15, rel. 40, hkl 1 1 1
- 2θ 31.53, rel. 100, hkl 2 2 0
- 2θ 37.15, rel. 25, hkl 3 1 1
- 2θ 45.19, rel. 33, hkl 4 0 0
- 2θ 49.50, rel. 12, hkl 3 3 1
- 2θ 56.14, rel. 39, hkl 4 2 2
- 2θ 59.88, rel. 9, hkl 3 3 3
- 2θ 65.83, rel. 19, hkl 4 4 0
- 2θ 69.26, rel. 8, hkl 5 3 1
- 2θ 74.82, rel. 17, hkl 6 2 0

Crystal structure
Cell lengths 8.0257, 8.0257, 8.0257 Å; angles 90.00, 90.00, 90.00 degrees
Space group F-43m (No. 216)
Symmetry-distinct sites (fractional):
Ca1 0.0000 0.0000 0.0000
Nd1 0.0000 0.0000 0.5000
Hf1 0.2500 0.2500 0.2500
Ti1 0.2500 0.2500 0.7500
O1 0.0047 0.2500 0.7500

[4]
Structure and calculated powder diffraction line list of CaHfO3 (a crystal structure in the Materials Project, relaxed with GGA-PBE; CuKα).
Lines closer than 0.1° are merged.

Main lines, low angle first (15 to 90 degrees two-theta):
- 2θ 21.65, rel. 66, hkl 1 0 0
- 2θ 30.80, rel. 100, hkl 1 1 0
- 2θ 37.96, rel. 7, hkl 1 1 1
- 2θ 44.12, rel. 32, hkl 2 0 0
- 2θ 49.66, rel. 30, hkl 2 1 0
- 2θ 54.77, rel. 40, hkl 2 1 1
- 2θ 64.17, rel. 20, hkl 2 2 0
- 2θ 68.58, rel. 14, hkl 3 0 0
- 2θ 72.86, rel. 17, hkl 3 1 0
- 2θ 89.28, rel. 21, hkl 3 2 1

Crystal structure
Cell lengths 4.1051, 4.1051, 4.1051 Å; angles 90.00, 90.00, 90.00 degrees
Space group Pm-3m (No. 221)
Symmetry-distinct sites (fractional):
Ca1 0.0000 0.0000 0.0000
Hf1 0.5000 0.5000 0.5000
O1 0.0000 0.5000 0.5000

[5]
Structure and calculated powder diffraction line list of CaHf4Pb4O12 (a crystal structure in the Materials Project, relaxed with GGA-PBE; CuKα).
Lines closer than 0.1° are merged.

Main lines, low angle first (15 to 90 degrees two-theta):
- 2θ 29.07, rel. 42, hkl 1 1 2
- 2θ 29.27, rel. 76, hkl 0 2 0
- 2θ 29.48, rel. 100, hkl 2 0 0
- 2θ 30.28, rel. 100, hkl -1 1 2
- 2θ 41.79, rel. 29, hkl 2 2 0
- 2θ 42.31, rel. 31, hkl 2 -2 0
- 2θ 43.16, rel. 18, hkl 0 0 4
- 2θ 52.54, rel. 22, hkl -1 3 2
- 2θ 60.71, rel. 12, hkl 0 4 0
- 2θ 62.97, rel. 13, hkl -2 2 4

Crystal structure
Cell lengths 6.0602, 6.1026, 8.3949 Å; angles 89.46, 87.26, 89.30 degrees
Space group P1 (No. 1)
Symmetry-distinct sites (fractional):
Ca1 0.0000 0.0000 0.0000
Hf1 0.3799 0.9776 0.5756
Hf2 0.4650 0.9864 0.0804
Hf3 0.8847 0.4860 0.5825
Hf4 0.9214 0.4918 0.0776
Pb1 0.3404 0.4827 0.3185
Pb2 0.3857 0.4596 0.8161
Pb3 0.8467 0.9806 0.6931
Pb4 0.8813 0.9620 0.3493
O1 0.1441 0.2325 0.5524
O2 0.1587 0.7299 0.5676
O3 0.1991 0.2604 0.1069
O4 0.2105 0.7276 0.0920
O5 0.3737 0.0162 0.8373
O6 0.4622 0.9757 0.3325
O7 0.6072 0.6979 0.6260
O8 0.6238 0.2675 0.5960
O9 0.6983 0.2392 0.0716
O10 0.7072 0.7540 0.0560
O11 0.9109 0.5211 0.3340
O12 0.9602 0.4756 0.8294